# Sc2FeSnO6
Simulated powder X-ray diffraction pattern, Cu Kα (λ = 1.5418 Å). Input: a DFT-relaxed cell (GGA+U, Alexandria).
Intensities are scaled so that the largest is 100.

Main lines, in order of rising 2θ (2θ = 10–90°):
Position (°2θ)  I/Imax  (hkl)
20.02  35  0 1 -1
31.06  53  -1 1 1
31.43  100  0 1 -2
33.19  42  1 1 -1
33.32  42  1 -2 1
33.44  40  2 -1 0

Structural model:
Cell lengths 5.360, 5.379, 5.712 Å; angles 117.26, 90.83, 119.64 degrees
Element x y z (fractional)
Sc1 0.000 0.000 0.000
Sc2 0.498 0.995 0.499
Fe1 0.283 0.567 0.862
Sn1 0.791 0.579 0.377
O1 0.084 0.480 0.190
O2 0.190 0.066 0.677
O3 0.401 0.100 0.190
O4 0.604 0.789 0.678
O5 0.692 0.777 0.180
O6 0.887 0.480 0.683